For Ac6CdIr4, a crystal structure in Alexandria, relaxed with GGA-PBE gives the calculated powder X-ray diffraction pattern in this record (Cu Kα (weighted mean of Kα1 and Kα2)).
Neutral-atom scattering factors, no anomalous dispersion.

Structure:
a b c (Å): 4.3848 14.4920 22.4294
angles (deg): 90.00 90.00 90.00
Space group Cmcm (No. 63)
Inequivalent atoms, fractional coordinates:
Ac 0.0000 0.0000 0.0000 [4 per cell]
Ac 0.0000 0.1626 0.2500 [4 per cell]
Ac 0.0000 0.2681 0.5802 [8 per cell]
Ac 0.0000 0.4677 0.1516 [8 per cell]
Cd 0.0000 0.1521 0.7500 [4 per cell]
Ir 0.0000 0.1006 0.1287 [8 per cell]
Ir 0.0000 0.3644 0.0422 [8 per cell]

Top 10 peaks for 2θ from 15° to 90°, in order of rising 2θ:
Position (°2θ)	Rel. int.
26.84	72.9
27.76	51.0
28.62	100.0
30.01	65.9
38.62	25.1
40.65	60.0
41.17	43.7
42.17	32.9
42.49	54.5
49.83	29.6